[1]
This entry pairs a crystal structure of CsBa2TaS5 with its simulated XRD peak list. Radiation: Cu Ka. Structure: a DFT-relaxed cell (GGA-PBE, Alexandria).

```
9
Lattice="-2.4356 3.8841 7.1826 2.4356 -3.8841 7.1826 2.4356 3.8841 -7.1826" Properties=species:S:1:pos:R:3 pbc="T T T"
Cs 0.0000 0.0000 0.0000
Ba 2.4356 0.0000 4.0945
Ba 0.0000 3.8841 3.0881
Ta 0.0000 0.0000 7.1826
S 2.4356 2.1644 -1.7929
S 2.4356 2.1644 1.7929
S 0.0000 3.8841 0.0000
S 0.0000 1.7196 5.3897
S 0.0000 1.7196 8.9755
```

Top 8 peaks for 5 to 70 degrees two-theta, in order of rising 2θ:
d 6.833, 2θ = 12.96°, I 19.4
d 3.884, 2θ = 22.90°, I 23.3
d 3.580, 2θ = 24.87°, I 100.0
d 2.637, 2θ = 34.00°, I 30.2
d 2.565, 2θ = 34.99°, I 9.8
d 2.436, 2θ = 36.91°, I 16.2
d 2.179, 2θ = 41.45°, I 22.9
d 1.789, 2θ = 51.05°, I 18.4

[2]
This entry pairs a crystal structure of CsBaSb2Te with its simulated XRD peak list. Radiation: Cu Ka. Structure: a DFT-relaxed cell (GGA-PBE, Alexandria).

```
5
Lattice="6.4863 0.0000 0.0000 0.0000 6.4863 0.0000 0.0000 0.0000 6.5782" Properties=species:S:1:pos:R:3 pbc="T T T"
Cs 0.0000 0.0000 0.0000
Ba 3.2431 3.2431 3.2891
Sb 0.0000 3.2431 3.2891
Sb 3.2431 0.0000 3.2891
Te 3.2431 3.2431 0.0000
```

Top 8 peaks for 5 to 70 degrees two-theta, in order of rising 2θ:
d 4.619, 2θ = 19.22°, I 22.9
d 3.762, 2θ = 23.65°, I 98.7
d 3.289, 2θ = 27.11°, I 51.9
d 3.243, 2θ = 27.50°, I 100.0
d 2.309, 2θ = 39.00°, I 78.0
d 2.293, 2θ = 39.29°, I 38.2
d 1.958, 2θ = 46.37°, I 31.9
d 1.881, 2θ = 48.39°, I 41.7

[3]
This entry pairs a crystal structure of CsBaSbTe2 with its simulated XRD peak list. Radiation: Cu Ka. Structure: a DFT-relaxed cell (GGA-PBE, Alexandria).

```
5
Lattice="6.6394 0.0000 0.0000 0.0000 6.6394 0.0000 0.0000 0.0000 6.6622" Properties=species:S:1:pos:R:3 pbc="T T T"
Cs 0.0000 0.0000 0.0000
Ba 3.3197 3.3197 3.3311
Sb 3.3197 3.3197 0.0000
Te 0.0000 3.3197 3.3311
Te 3.3197 0.0000 3.3311
```

Top 8 peaks for 5 to 70 degrees two-theta, in order of rising 2θ:
d 6.648, 2θ = 13.32°, I 20.3
d 4.700, 2θ = 18.88°, I 22.5
d 3.838, 2θ = 23.18°, I 65.3
d 3.324, 2θ = 26.82°, I 100.0
d 2.350, 2θ = 38.30°, I 77.0
d 2.002, 2θ = 45.29°, I 21.5
d 1.919, 2θ = 47.38°, I 27.8
d 1.485, 2θ = 62.54°, I 24.1